Structure and simulated powder diffractogram of Li3Co3SbO8 (a DFT-relaxed cell (PBE+U, Alexandria); CuKα).
Neutral-atom scattering factors, no anomalous dispersion.

Peak list (10 most intense, 5° ≤ 2θ ≤ 70°, in order of falling intensity)
| index | 2θ/deg | I (rel.) |
| --- | --- | --- |
| 0 1 0 | 17.90 | 1000 |
| 2 0 2 | 42.22 | 362 |
| -2 1 2 | 34.87 | 276 |
| -2 2 2 | 42.33 | 180 |
| 0 1 -4 | 34.77 | 173 |
| 2 0 -6 | 61.35 | 152 |
| 0 2 0 | 36.28 | 118 |
| 0 2 4 | 61.07 | 99 |
| 2 -1 6 | 64.41 | 76 |
| 2 1 2 | 55.63 | 70 |

Structural model:
```
data_Li3Co3SbO8
_cell_length_a 6.025
_cell_length_b 6.042
_cell_length_c 10.483
_cell_angle_alpha 106.64
_cell_angle_beta 90.08
_cell_angle_gamma 119.63
_symmetry_space_group_name_H-M 'P -1'
_symmetry_Int_Tables_number 2
loop_
_symmetry_equiv_pos_as_xyz
'x,y,z'
'-x,-y,-z'
loop_
_atom_site_label
_atom_site_type_symbol
_atom_site_fract_x
_atom_site_fract_y
_atom_site_fract_z
Li1 Li 0.000 0.000 0.000
Li2 Li 0.000 0.000 0.500
Li3 Li 0.234 0.999 0.249
Li4 Li 0.500 0.000 0.000
Li5 Li 0.500 0.000 0.500
Co1 Co 0.000 0.500 0.500
Co2 Co 0.243 0.494 0.750
Co3 Co 0.252 0.497 0.251
Co4 Co 0.500 0.500 0.000
Sb1 Sb 0.000 0.500 0.000
Sb2 Sb 0.500 0.500 0.500
O1 O 0.082 0.709 0.870
O2 O 0.107 0.262 0.880
O3 O 0.121 0.696 0.373
O4 O 0.153 0.247 0.386
O5 O 0.348 0.709 0.609
O6 O 0.367 0.731 0.100
O7 O 0.388 0.307 0.127
O8 O 0.413 0.289 0.629
```